LaTaO3: simulated X-ray powder pattern (a wavelength of 1.5418 Å), based on DFT lattice parameters and positions (GGA-PBE).

Peak list (8 most intense, 10° ≤ 2θ ≤ 80°, in order of rising 2θ)
| d (Å) | 2θ (°) | intensity |
| --- | --- | --- |
| 4.073 | 21.8 | 5 |
| 2.880 | 31.1 | 100 |
| 2.037 | 44.5 | 27 |
| 1.822 | 50.1 | 2 |
| 1.663 | 55.2 | 41 |
| 1.440 | 64.7 | 17 |
| 1.358 | 69.2 | 1 |
| 1.288 | 73.5 | 18 |

Structure:
Cell lengths 4.073, 4.073, 4.073 Å; angles 90.00, 90.00, 90.00 degrees
Positions (direct):
La1 0.000 0.000 0.000
Ta1 0.500 0.500 0.500
O1 0.000 0.500 0.500
O2 0.500 0.000 0.500
O3 0.500 0.500 0.000